Diffraction record for Ag2SbHPb. The PXRD pattern is simulated, not measured: it uses DFT lattice parameters and positions (GGA-PBE) and copper Kα.
Peak positions follow from Bragg's law for the DFT cell and can differ from measured ones.

Principal peaks in the range 2θ = 10–90°, low angle first:
- 2θ = 23.14°, intensity 33
- 2θ = 28.40°, intensity 88
- 2θ = 32.82°, intensity 100
- 2θ = 40.54°, intensity 31
- 2θ = 43.94°, intensity 55
- 2θ = 47.08°, intensity 32
- 2θ = 47.30°, intensity 16
- 2θ = 58.76°, intensity 32
- 2θ = 66.35°, intensity 16
- 2θ = 68.96°, intensity 20

Cell and atoms:
abc: 5.4593 5.4593 3.8434
angles: 90.00 90.00 90.00
Atoms (fractional coordinates):
Ag 0.0000 0.5000 0.0000
Ag 0.5000 0.0000 0.0000
Sb 0.0000 0.0000 0.5000
H 0.5000 0.5000 0.5000
Pb 0.5000 0.5000 0.0000

=====

Diffraction record for AgH4Pd7. The PXRD pattern is simulated, not measured: it uses DFT lattice parameters and positions (GGA-PBE) and copper Kα.
Peak positions follow from Bragg's law for the DFT cell and can differ from measured ones.

Principal peaks in the range 2θ = 10–90°, low angle first:
- 2θ = 35.71°, intensity 22
- 2θ = 36.03°, intensity 13
- 2θ = 37.25°, intensity 42
- 2θ = 40.45°, intensity 100
- 2θ = 40.74°, intensity 46
- 2θ = 52.55°, intensity 14
- 2θ = 64.57°, intensity 16
- 2θ = 69.33°, intensity 19
- 2θ = 76.98°, intensity 19
- 2θ = 78.64°, intensity 13

Cell and atoms:
abc: 11.6482 4.9851 4.8277
angles: 90.00 90.00 90.00
Atoms (fractional coordinates):
Ag 0.0000 0.1625 0.0000
Ag 0.5000 0.8375 0.5000
H 0.1230 0.6585 0.6437
H 0.2501 0.1746 0.6350
H 0.2499 0.8254 0.1350
H 0.3770 0.3415 0.1437
H 0.6230 0.3415 0.1437
H 0.7499 0.1746 0.6350
H 0.7501 0.8254 0.1350
H 0.8770 0.6585 0.6437
Pd 0.0000 0.8345 0.4984
Pd 0.1207 0.3231 0.4972
Pd 0.1205 0.6617 0.0155
Pd 0.2470 0.1750 0.0125
Pd 0.2530 0.8250 0.5125
Pd 0.3795 0.3383 0.5155
Pd 0.3793 0.6769 0.9972
Pd 0.5000 0.1655 0.9984
Pd 0.6205 0.3383 0.5155
Pd 0.6207 0.6769 0.9972
Pd 0.7470 0.8250 0.5125
Pd 0.7530 0.1750 0.0125
Pd 0.8793 0.3231 0.4972
Pd 0.8795 0.6617 0.0155

=====

Diffraction record for Ag3H3Pd5. The PXRD pattern is simulated, not measured: it uses DFT lattice parameters and positions (GGA-PBE) and copper Kα.
Peak positions follow from Bragg's law for the DFT cell and can differ from measured ones.

Principal peaks in the range 2θ = 10–90°, low angle first:
- 2θ = 36.95°, intensity 100
- 2θ = 37.77°, intensity 64
- 2θ = 40.52°, intensity 44
- 2θ = 41.56°, intensity 35
- 2θ = 44.31°, intensity 34
- 2θ = 45.32°, intensity 20
- 2θ = 62.37°, intensity 16
- 2θ = 67.51°, intensity 19
- 2θ = 73.17°, intensity 16
- 2θ = 77.71°, intensity 22

Cell and atoms:
abc: 2.8478 7.3051 7.3051
angles: 106.99 90.00 90.00
Atoms (fractional coordinates):
Ag 0.0000 0.0000 0.0000
Ag 0.0000 0.2958 0.7287
Ag 0.0000 0.7287 0.2958
H 0.5000 0.1050 0.5916
H 0.5000 0.3076 0.3076
H 0.5000 0.5916 0.1050
Pd 0.5000 0.0860 0.3509
Pd 0.5000 0.3509 0.0860
Pd 0.5000 0.5075 0.5075
Pd 0.5000 0.6526 0.8965
Pd 0.5000 0.8965 0.6526